This entry pairs a crystal structure of Cu7PSe6 with its theoretical XRD peak list. Radiation: Cu Ka. Structure: the GGA-PBE geometry in the Materials Project.
Peak positions follow from Bragg's law for the DFT cell and can differ from measured ones.

Largest 6 diffraction maxima, by angle, 2θ from 15° to 90°:
2θ/deg	Rel. int.
29.4	32
30.7	100
33.3	27
37.9	23
46.9	48
51.3	53

Cell and atoms:
```
56
Lattice="10.073 0.000 0.000 0.000 10.073 0.000 0.000 0.000 10.073" Properties=species:S:1:pos:R:3 pbc="T T T"
Cu 0.124 2.227 5.181
Cu 0.145 4.913 7.846
Cu 0.734 6.074 2.265
Cu 1.038 2.771 9.339
Cu 1.517 8.556 3.519
Cu 2.227 5.181 0.124
Cu 2.265 0.734 6.074
Cu 2.771 9.339 1.038
Cu 2.809 4.892 5.160
Cu 3.519 1.517 8.556
Cu 3.998 7.302 4.302
Cu 4.302 3.998 7.302
Cu 4.892 5.160 2.809
Cu 4.913 7.846 0.145
Cu 5.160 2.809 4.892
Cu 5.181 0.124 2.227
Cu 5.770 9.035 7.808
Cu 6.074 2.265 0.734
Cu 6.553 6.553 6.553
Cu 7.263 9.928 9.949
Cu 7.302 4.302 3.998
Cu 7.808 5.770 9.035
Cu 7.846 0.145 4.913
Cu 8.556 3.519 1.517
Cu 9.035 7.808 5.770
Cu 9.339 1.038 2.771
Cu 9.928 9.949 7.263
Cu 9.949 7.263 9.928
P 2.518 2.518 2.518
P 2.519 7.555 7.554
P 7.554 2.519 7.555
P 7.555 7.554 2.519
Se 0.169 9.904 4.868
Se 1.167 6.363 6.250
Se 1.213 3.869 3.710
Se 1.225 1.225 1.225
Se 1.327 8.860 8.906
Se 2.202 2.835 7.238
Se 2.835 7.238 2.202
Se 3.710 1.213 3.869
Se 3.812 8.848 6.261
Se 3.823 6.204 8.746
Se 3.869 3.710 1.213
Se 4.868 0.169 9.904
Se 5.205 5.205 5.205
Se 6.204 8.746 3.823
Se 6.250 1.167 6.363
Se 6.261 3.812 8.848
Se 6.363 6.250 1.167
Se 7.238 2.202 2.835
Se 7.871 7.871 7.871
Se 8.746 3.823 6.204
Se 8.848 6.261 3.812
Se 8.860 8.906 1.327
Se 8.906 1.327 8.860
Se 9.904 4.868 0.169
```

=====

This entry pairs a crystal structure of Cu7PSe6 with its theoretical XRD peak list. Radiation: Cu Ka. Structure: the GGA-PBE geometry in the Materials Project.
Peak positions follow from Bragg's law for the DFT cell and can differ from measured ones.

Largest 6 diffraction maxima, by angle, 2θ from 15° to 90°:
2θ/deg	Rel. int.
29.2	23
30.5	100
46.4	17
46.5	24
50.9	29
51.0	17

Cell and atoms:
```
56
Lattice="10.110 0.000 0.000 0.022 10.148 0.000 0.015 0.004 10.174" Properties=species:S:1:pos:R:3 pbc="T T T"
Cu 0.000 0.000 0.000
Cu 10.125 4.744 4.567
Cu 0.885 6.951 7.004
Cu 1.358 2.823 1.246
Cu 1.672 9.604 8.266
Cu 2.168 3.240 5.574
Cu 2.324 5.643 3.279
Cu 2.350 0.540 2.763
Cu 2.454 8.375 0.461
Cu 3.061 4.558 7.873
Cu 3.328 7.844 4.780
Cu 3.891 1.848 9.293
Cu 4.576 9.835 1.404
Cu 4.593 5.590 5.625
Cu 5.039 1.212 6.486
Cu 5.128 5.474 0.554
Cu 6.004 9.113 4.062
Cu 6.371 3.074 9.964
Cu 6.644 6.413 2.737
Cu 6.895 4.982 8.363
Cu 7.323 2.721 5.466
Cu 7.817 10.124 7.872
Cu 7.842 7.860 0.123
Cu 8.108 1.360 3.297
Cu 8.330 8.194 6.232
Cu 8.773 4.059 1.865
Cu 9.586 0.430 5.441
Cu 9.798 6.197 9.739
P 4.808 3.007 3.048
P 4.910 8.029 8.141
P 9.844 2.941 8.076
P 9.935 8.089 2.983
Se 1.027 1.552 6.875
Se 1.043 6.815 1.601
Se 1.077 4.220 9.359
Se 1.207 9.262 4.291
Se 2.200 5.630 5.673
Se 2.362 0.624 0.371
Se 3.441 4.201 1.739
Se 3.592 6.652 9.316
Se 3.627 9.324 6.807
Se 3.615 1.729 4.440
Se 4.651 7.819 2.755
Se 5.066 3.201 7.869
Se 6.113 9.311 9.501
Se 6.096 1.665 1.778
Se 6.106 4.396 4.219
Se 6.275 6.787 6.869
Se 7.188 0.319 5.497
Se 7.515 5.475 0.523
Se 8.508 1.714 9.371
Se 8.644 6.753 4.256
Se 8.658 4.248 6.712
Se 8.664 9.471 1.779
Se 9.681 8.261 8.340
Se 10.079 2.757 3.213
```

=====

This entry pairs a crystal structure of Cu7PSe6 with its theoretical XRD peak list. Radiation: Cu Ka. Structure: the GGA-PBE geometry in the Materials Project.
Peak positions follow from Bragg's law for the DFT cell and can differ from measured ones.

Largest 6 diffraction maxima, by angle, 2θ from 15° to 90°:
2θ/deg	Rel. int.
29.2	52
30.4	100
30.6	90
46.3	54
46.6	51
50.9	84

Cell and atoms:
```
56
Lattice="14.443 0.000 0.000 0.000 7.166 0.000 0.000 0.000 10.122" Properties=species:S:1:pos:R:3 pbc="T T T"
Cu 0.591 0.529 0.409
Cu 0.808 3.146 3.859
Cu 1.752 4.917 2.300
Cu 2.160 0.139 3.195
Cu 3.072 5.172 7.084
Cu 3.363 2.968 0.000
Cu 3.365 3.877 4.645
Cu 3.857 0.294 9.706
Cu 3.858 6.551 5.061
Cu 4.149 1.589 2.023
Cu 5.062 3.722 8.256
Cu 5.469 1.334 7.362
Cu 6.413 6.729 8.920
Cu 6.630 4.113 5.470
Cu 7.813 3.054 0.409
Cu 8.030 0.437 3.859
Cu 8.974 5.832 2.300
Cu 9.381 3.444 3.195
Cu 10.293 5.578 7.084
Cu 10.585 0.615 0.000
Cu 10.586 6.872 4.645
Cu 11.078 3.289 9.706
Cu 11.079 4.198 5.061
Cu 11.371 1.995 2.023
Cu 12.283 7.027 8.256
Cu 12.690 2.249 7.362
Cu 13.634 4.020 8.920
Cu 13.851 6.637 5.470
P 1.816 1.777 7.169
P 5.405 5.360 2.108
P 9.037 1.806 7.169
P 12.627 5.389 2.108
Se 0.049 1.783 5.782
Se 1.594 5.495 4.682
Se 1.728 3.653 8.414
Se 1.767 2.037 1.880
Se 1.841 7.106 8.435
Se 3.586 5.346 0.796
Se 3.635 1.763 5.857
Se 5.380 3.523 3.374
Se 5.455 5.620 6.941
Se 5.493 0.070 3.353
Se 5.627 1.912 9.743
Se 7.172 5.366 0.721
Se 7.271 1.800 5.782
Se 8.815 5.254 4.682
Se 8.949 7.097 8.414
Se 8.988 1.546 1.880
Se 9.062 3.644 8.435
Se 10.808 5.404 0.796
Se 10.856 1.820 5.857
Se 12.602 0.060 3.374
Se 12.676 5.130 6.941
Se 12.714 3.513 3.353
Se 12.849 1.671 9.743
Se 14.393 5.383 0.721
```

=====

This entry pairs a crystal structure of Cu4SiP8 with its theoretical XRD peak list. Radiation: Cu Ka. Structure: the GGA-PBE geometry in the Materials Project.
Peak positions follow from Bragg's law for the DFT cell and can differ from measured ones.

Largest 6 diffraction maxima, by angle, 2θ from 15° to 90°:
2θ/deg	Rel. int.
20.6	24
30.7	100
34.6	20
40.1	13
49.6	32
54.2	16

Cell and atoms:
```
26
Lattice="-6.106 6.106 2.866 6.106 -6.106 2.866 6.106 6.106 -2.866" Properties=species:S:1:pos:R:3 pbc="T T T"
Cu -0.132 0.590 1.098
Cu 2.463 2.921 0.335
Cu 3.643 -2.921 3.201
Cu 5.974 0.590 1.768
Cu 0.132 5.516 1.098
Cu 2.463 9.028 -0.335
Cu 3.643 3.185 2.530
Cu 6.238 5.516 1.768
Si 6.106 3.053 -0.716
Si 0.000 3.053 3.582
P 5.034 -4.464 2.123
P 8.887 -1.178 0.841
P 4.231 -0.273 0.592
P 7.179 -1.642 2.123
P 2.780 -1.178 2.025
P 7.517 1.981 0.690
P 4.231 5.834 -0.592
P 4.696 4.125 0.690
P 1.411 1.981 2.176
P 1.875 0.273 3.457
P -1.411 4.125 2.176
P 3.326 7.284 0.841
P -1.072 7.749 0.743
P 1.875 6.379 2.274
P -2.780 7.284 2.025
P 1.072 10.570 0.743
```

=====

This entry pairs a crystal structure of ZrCuSiP with its theoretical XRD peak list. Radiation: Cu Ka. Structure: the GGA-PBE geometry in the Materials Project.
Peak positions follow from Bragg's law for the DFT cell and can differ from measured ones.

Largest 6 diffraction maxima, by angle, 2θ from 15° to 90°:
2θ/deg	Rel. int.
26.5	31
37.8	39
40.2	100
50.8	29
65.0	23
88.4	20

Cell and atoms:
```
8
Lattice="3.593 0.000 0.000 0.000 3.593 0.000 0.000 0.000 9.526" Properties=species:S:1:pos:R:3 pbc="T T T"
Zr 0.898 0.898 2.178
Zr 2.695 2.695 7.348
Cu 0.898 2.695 4.763
Cu 2.695 0.898 4.763
Si 0.898 2.695 0.000
Si 2.695 0.898 0.000
P 0.898 0.898 6.400
P 2.695 2.695 3.126
```

=====

This entry pairs a crystal structure of SmCuP2 with its theoretical XRD peak list. Radiation: Cu Ka. Structure: the GGA-PBE geometry in the Materials Project.
Peak positions follow from Bragg's law for the DFT cell and can differ from measured ones.

Largest 6 diffraction maxima, by angle, 2θ from 15° to 90°:
2θ/deg	Rel. int.
24.0	48
32.7	54
38.3	100
47.7	23
48.2	30
83.3	20

Cell and atoms:
```
16
Lattice="3.774 0.000 0.000 0.000 3.774 0.000 0.000 0.000 19.871" Properties=species:S:1:pos:R:3 pbc="T T T"
Sm 0.000 0.000 2.316
Sm 0.000 0.000 17.555
Sm 1.887 1.887 7.620
Sm 1.887 1.887 12.252
Cu 0.000 1.887 4.968
Cu 0.000 1.887 14.903
Cu 1.887 0.000 4.968
Cu 1.887 0.000 14.903
P 0.000 0.000 6.451
P 0.000 0.000 13.421
P 0.000 1.887 0.000
P 0.000 1.887 9.936
P 1.887 0.000 0.000
P 1.887 0.000 9.936
P 1.887 1.887 3.485
P 1.887 1.887 16.386
```